Computed XRD peak list
Compound: Li9Mn2Co5O16
Radiation: Cu Kα (λ = 1.5418 Å)
Structure: a GGA+U-relaxed structure
Neutral-atom scattering factors, no anomalous dispersion.

Most intense lines, 2θ = 15–90°, by angle:
2θ (°)	I_rel
18.24	100
35.18	14
36.22	24
37.65	7
42.49	27
43.86	53
47.44	13
57.66	10
62.57	14
62.85	13

Structure:
a = 21.1205 Å, b = 2.8882 Å, c = 10.3300 Å
α = 90.00°, β = 112.90°, γ = 90.00°
Space group Cm (No. 8)
Unique sites:
1 Li 0.0000 0.0000 0.0000 x2
2 Li 0.9997 0.0000 0.4856 x2
3 Li 0.1166 0.5000 0.1682 x2
4 Li 0.2308 0.0000 0.3410 x2
5 Li 0.2364 0.5000 0.5983 x2
6 Li 0.2382 0.0000 0.8572 x2
7 Li 0.2393 0.5000 0.0978 x2
8 Li 0.4926 0.0000 0.2199 x2
9 Li 0.4980 0.0000 0.7399 x2
10 Mn 0.3671 0.0000 0.2895 x2
11 Mn 0.3671 0.5000 0.5474 x2
12 Co 0.1134 0.0000 0.3980 x2
13 Co 0.1176 0.5000 0.6695 x2
14 Co 0.1205 0.0000 0.9397 x2
15 Co 0.3674 0.0000 0.7971 x2
16 Co 0.3665 0.5000 0.0376 x2
17 O 0.0561 0.0000 0.2158 x2
18 O 0.0574 0.5000 0.9414 x2
19 O 0.0636 0.0000 0.6956 x2
20 O 0.0651 0.5000 0.4720 x2
21 O 0.1689 0.5000 0.8677 x2
22 O 0.1717 0.0000 0.6434 x2
23 O 0.1767 0.5000 0.3948 x2
24 O 0.1783 0.0000 0.1227 x2
25 O 0.3067 0.0000 0.0679 x2
26 O 0.3103 0.0000 0.5671 x2
27 O 0.3117 0.5000 0.8228 x2
28 O 0.3160 0.5000 0.3392 x2
29 O 0.4184 0.5000 0.7500 x2
30 O 0.4232 0.5000 0.2636 x2
31 O 0.4247 0.0000 0.5273 x2
32 O 0.4266 0.0000 0.0112 x2